The following is a computed PXRD pattern of DyI3Cl. It was derived from the PBE geometry in Alexandria, using λ = 1.5418 Å (Cu Kα).
Lines closer than 0.1° are merged.

Crystal structure
```
data_DyI3Cl
_chemical_formula_sum 'Dy4 I12 Cl4'
_cell_length_a 13.0236
_cell_length_b 7.0870
_cell_length_c 8.6176
_cell_angle_alpha 90.00
_cell_angle_beta 90.00
_cell_angle_gamma 90.00
_symmetry_space_group_name_H-M 'I m a 2'
_symmetry_Int_Tables_number 46
_symmetry_space_group_name_Hall 'I 2 -2a'
loop_
_atom_site_label
_atom_site_type_symbol
_atom_site_fract_x
_atom_site_fract_y
_atom_site_fract_z
Dy1 Dy 0.2500 0.2479 0.0000
I1 I 0.0131 0.2490 0.0000
I2 I 0.2500 0.5492 0.2483
Cl1 Cl 0.2500 0.0311 0.2512
```

Principal peaks in the range 5° ≤ 2θ ≤ 70°, in order of falling intensity:
2θ/deg  I_rel  hkl
32.72  100  0 2 2
43.18  87  4 2 2
25.13  84  0 2 0
27.39  84  4 0 0
14.23  55  1 1 0
24.78  44  2 0 2
20.61  33  0 0 2
50.82  30  4 0 4
41.94  28  0 0 4
42.51  28  5 1 2


The following is a computed PXRD pattern of Sr2Cd5Ag3. It was derived from the PBE geometry in Alexandria, using λ = 1.5418 Å (Cu Kα).
Lines closer than 0.1° are merged.

Crystal structure
```
data_Sr2Cd5Ag3
_chemical_formula_sum 'Sr2 Cd5 Ag3'
_cell_length_a 4.4287
_cell_length_b 4.4287
_cell_length_c 13.2112
_cell_angle_alpha 90.00
_cell_angle_beta 90.00
_cell_angle_gamma 90.00
_symmetry_space_group_name_H-M 'P -4 m 2'
_symmetry_Int_Tables_number 115
_symmetry_space_group_name_Hall 'P -4 -2'
loop_
_atom_site_label
_atom_site_type_symbol
_atom_site_fract_x
_atom_site_fract_y
_atom_site_fract_z
Sr1 Sr 0.0000 0.5000 0.2363
Cd1 Cd 0.0000 0.0000 0.5000
Cd2 Cd 0.0000 0.5000 0.6496
Cd3 Cd 0.5000 0.5000 0.0000
Cd4 Cd 0.5000 0.5000 0.5000
Ag1 Ag 0.0000 0.0000 0.0000
Ag2 Ag 0.0000 0.5000 0.8599
```

Principal peaks in the range 5° ≤ 2θ ≤ 70°, in order of falling intensity:
2θ/deg  I_rel  hkl
31.62  100  1 1 2
39.69  81  1 1 4
40.75  53  2 0 0
28.58  33  1 0 3
58.22  22  2 1 5
68.49  20  3 1 2
58.99  17  2 2 0
21.16  17  1 0 1
50.53  12  2 1 3
59.18  10  2 0 6


The following is a computed PXRD pattern of Tb7In4Pb. It was derived from the PBE geometry in Alexandria, using λ = 1.5418 Å (Cu Kα).
Lines closer than 0.1° are merged.

Crystal structure
```
data_Tb7In4Pb
_chemical_formula_sum 'Tb14 In8 Pb2'
_cell_length_a 14.3301
_cell_length_b 5.7928
_cell_length_c 11.1736
_cell_angle_alpha 90.00
_cell_angle_beta 127.28
_cell_angle_gamma 90.00
_symmetry_space_group_name_H-M 'C 1 2/m 1'
_symmetry_Int_Tables_number 12
_symmetry_space_group_name_Hall '-C 2y'
loop_
_atom_site_label
_atom_site_type_symbol
_atom_site_fract_x
_atom_site_fract_y
_atom_site_fract_z
Tb1 Tb 0.0000 0.0000 0.0000
Tb2 Tb 0.0696 0.5000 0.3261
Tb3 Tb 0.1607 0.0000 0.5949
Tb4 Tb 0.2144 0.5000 0.8715
In1 In 0.0620 0.0000 0.7709
In2 In 0.2039 0.0000 0.3407
Pb1 Pb 0.0000 0.5000 0.0000
```

Principal peaks in the range 5° ≤ 2θ ≤ 70°, in order of falling intensity:
2θ/deg  I_rel  hkl
30.87  100  0 2 0
34.45  80  3 1 1
35.54  68  5 1 -3
33.23  64  2 0 -4
45.99  52  2 2 -4
26.43  31  4 0 -1
63.88  30  8 2 -2
27.27  25  4 0 -3
57.97  24  5 3 -3
28.98  21  3 1 -3